Theoretical X-ray powder pattern of BaAl2Ge2O8 for Cu Kα, 1.54184 Å, from a GGA-PBE-relaxed structure.

Structural model:
a b c (Å): 13.7982 13.5488 8.9174
angles (deg): 90.00 100.94 90.00
Space group C2/c (No. 15)
Symmetry-distinct sites (fractional):
Ba (0.1839, 0.2497, 0.2105) [8 per cell]
Al (0.0765, 0.1307, 0.5263) [8 per cell]
Al (0.1367, 0.4310, 0.8913) [8 per cell]
Ge (0.0766, 0.3678, 0.5233) [8 per cell]
Ge (0.1391, 0.0688, 0.8946) [8 per cell]
O (0.0521, 0.3743, 0.9910) [8 per cell]
O (0.0526, 0.1240, 0.9915) [8 per cell]
O (0.1044, 0.2488, 0.4603) [8 per cell]
O (0.1224, 0.4405, 0.3889) [8 per cell]
O (0.1264, 0.0595, 0.3927) [8 per cell]
O (0.1427, 0.1189, 0.7143) [8 per cell]
O (0.1430, 0.3811, 0.7110) [8 per cell]
O (0.2488, 0.3828, 0.9985) [8 per cell]

Peak list (6 most intense, 2θ from 10° to 90°, sorted by position)
2θ (°), d [Å], intensity
22.6, 3.943, 41
24.7, 3.601, 66
25.7, 3.472, 100
26.3, 3.391, 85
28.4, 3.139, 60
33.4, 2.681, 82

Theoretical X-ray powder pattern of Tm4Al24Pd9 for Cu Kα, 1.54184 Å, from a GGA-PBE-relaxed structure.

Structural model:
a b c (Å): 7.4814 7.5322 13.2505
angles (deg): 84.91 79.39 60.53
Space group P-1 (No. 2)
Symmetry-distinct sites (fractional):
Tm (0.0623, 0.3305, 0.3087) [2 per cell]
Tm (0.2679, 0.9980, 0.6917) [2 per cell]
Al (0.0189, 0.6660, 0.4446) [2 per cell]
Al (0.1183, 0.6656, 0.1714) [2 per cell]
Al (0.1453, 0.3333, 0.0583) [2 per cell]
Al (0.1867, 0.0004, 0.9411) [2 per cell]
Al (0.1921, 0.8694, 0.3154) [2 per cell]
Al (0.2313, 0.6601, 0.8297) [2 per cell]
Al (0.3162, 0.6676, 0.5472) [2 per cell]
Al (0.3532, 0.0006, 0.4447) [2 per cell]
Al (0.3964, 0.3367, 0.6831) [2 per cell]
Al (0.3966, 0.4580, 0.3162) [2 per cell]
Al (0.4428, 0.9944, 0.1715) [2 per cell]
Al (0.4791, 0.6665, 0.0605) [2 per cell]
Pd (0.0000, 0.0000, 0.5000) [1 per cell]
Pd (0.1123, 0.0075, 0.1385) [2 per cell]
Pd (0.2054, 0.3332, 0.8611) [2 per cell]
Pd (0.3284, 0.3289, 0.4995) [2 per cell]
Pd (0.4524, 0.3256, 0.1375) [2 per cell]

Peak list (6 most intense, 2θ from 10° to 90°, sorted by position)
2θ (°), d [Å], intensity
28.5, 3.130, 100
30.0, 2.976, 78
38.2, 2.354, 67
41.3, 2.186, 73
41.6, 2.171, 93
41.8, 2.161, 71